The following is a theoretical PXRD pattern of LiNi2O2F. It was derived from a DFT-relaxed cell (GGA+U, Alexandria), using Cu Kα.
No peak broadening, texture or thermal motion is included.

Most intense lines, 2θ from 10° to 90°, low angle first:
2θ/deg	intensity
14.09	14
30.98	9
33.41	24
37.14	42
41.88	12
43.15	100
43.77	8
62.67	57
75.15	18
79.12	17

Cell lengths 2.9655, 2.9655, 12.5737 Å; angles 90.00, 90.00, 90.00 degrees
Space group P4/nmm (No. 129, origin choice 2)
Symmetry-distinct sites (fractional):
Li 0.2500 0.2500 0.0833
Ni 0.2500 0.2500 0.4148
Ni 0.2500 0.2500 0.7514
O 0.2500 0.2500 0.2461
O 0.2500 0.2500 0.5845
F 0.2500 0.2500 0.9227